[1]
The following is a computed powder X-ray diffraction pattern of NpSnO3. It was derived from a PBE-relaxed structure, using copper Kα.
Kinematic intensities with the Lorentz-polarization factor, no thermal factor.

Peak list (6 most intense, 15 to 90 degrees two-theta, by angle)
2theta	Rel. int.
30.39	1000
43.52	272
54.00	424
63.23	177
71.76	189
87.81	237

```
NpSnO3
1.0
4.159 0.000 0.000
0.000 4.159 0.000
0.000 0.000 4.159
Np Sn O
1 1 3
direct
0.000 0.000 0.000
0.500 0.500 0.500
0.000 0.500 0.500
0.500 0.000 0.500
0.500 0.500 0.000
```



[2]
The following is a computed powder X-ray diffraction pattern of Np2Tc4O23. It was derived from a PBE-relaxed structure, using copper Kα.
Kinematic intensities with the Lorentz-polarization factor, no thermal factor.

Peak list (6 most intense, 15 to 90 degrees two-theta, by angle)
2theta	Rel. int.
17.89	1000
21.90	304
22.21	293
23.36	381
23.47	391
25.10	311

```
Np2Tc4O23
1.0
5.650 0.000 0.000
-0.725 13.349 0.000
-2.033 -4.509 14.580
Np Tc O
4 8 46
direct
0.247 0.148 0.172
0.248 0.702 0.313
0.752 0.298 0.687
0.753 0.852 0.828
0.012 0.645 0.629
0.013 0.003 0.347
0.402 0.430 0.131
0.489 0.866 0.065
0.511 0.134 0.935
0.598 0.570 0.869
0.987 0.997 0.653
0.988 0.355 0.371
0.014 0.348 0.651
0.038 0.878 0.898
0.080 0.686 0.202
0.084 0.873 0.320
0.106 0.722 0.566
0.108 0.066 0.266
0.117 0.272 0.275
0.158 0.069 0.455
0.201 0.452 0.438
0.251 0.588 0.671
0.266 0.139 0.859
0.266 0.442 0.029
0.289 0.994 0.654
0.295 0.545 0.862
0.301 0.523 0.222
0.318 0.968 0.117
0.321 0.748 0.032
0.327 0.300 0.136
0.339 0.796 0.431
0.409 0.112 0.033
0.448 0.635 0.384
0.461 0.832 0.764
0.489 0.248 0.724
0.511 0.752 0.276
0.539 0.168 0.236
0.552 0.365 0.616
0.591 0.888 0.967
0.661 0.204 0.569
0.673 0.700 0.864
0.679 0.252 0.968
0.682 0.032 0.883
0.699 0.477 0.778
0.705 0.455 0.138
0.711 0.006 0.346
0.734 0.558 0.971
0.734 0.861 0.141
0.749 0.412 0.329
0.799 0.548 0.562
0.842 0.931 0.545
0.883 0.728 0.725
0.892 0.934 0.734
0.894 0.278 0.434
0.916 0.127 0.680
0.920 0.314 0.798
0.962 0.122 0.102
0.986 0.652 0.349
```



[3]
The following is a computed powder X-ray diffraction pattern of NpTiO3. It was derived from a PBE-relaxed structure, using copper Kα.
Kinematic intensities with the Lorentz-polarization factor, no thermal factor.

Peak list (6 most intense, 15 to 90 degrees two-theta, by angle)
2theta	Rel. int.
22.69	462
32.31	1000
39.85	301
46.34	283
52.20	234
57.62	399

```
NpTiO3
1.0
3.918 0.000 0.000
0.000 3.918 0.000
0.000 0.000 3.918
Np Ti O
1 1 3
direct
0.000 0.000 0.000
0.500 0.500 0.500
0.000 0.500 0.500
0.500 0.000 0.500
0.500 0.500 0.000
```